Starting from DFT lattice parameters and positions (PBE), the powder diffractogram of La2AlZnGa6 was computed for Cu Kα X-rays.
Intensities are scaled so that the largest is 100.

Lattice parameters (Å, degrees): 6.4815 6.4815 36.1402 90.00 90.00 120.00
Space group R-3m (No. 166, hexagonal axes)
Inequivalent atoms, fractional coordinates:
La 0.0000 0.0000 0.1151
La 0.0000 0.0000 0.2949
Al 0.0000 0.0000 0.0000
Al 0.0000 0.0000 0.5000
Zn 0.0000 0.0000 0.4301
Ga 0.0469 0.5234 0.2920
Ga 0.0738 0.5369 0.8729

Most intense lines, 2θ from 15° to 90°, in order of rising 2θ:
2θ 27.5, d 3.241, rel. 48.7, hkl 1 1 0; 2θ 29.7, d 3.012, rel. 65.8, hkl 0 0 12; 2θ 34.3, d 2.616, rel. 98.9, hkl 2 0 5; 2θ 36.4, d 2.466, rel. 100.0, hkl 0 2 7; 2θ 54.1, d 1.695, rel. 38.0, hkl 2 0 17; 2θ 56.8, d 1.620, rel. 34.0, hkl 2 2 0

***

Starting from DFT lattice parameters and positions (PBE), the powder diffractogram of Li2Al2Ga was computed for Cu Kα X-rays.
Intensities are scaled so that the largest is 100.

Lattice parameters (Å, degrees): 6.134 11.679 5.230 90.00 90.00 90.00
Space group Ibam (No. 72)
Inequivalent atoms, fractional coordinates:
Li 0.227 0.180 0.000
Al 0.152 0.422 0.000
Ga 0.000 0.000 0.250

Most intense lines, 2θ from 15° to 90°, in order of rising 2θ:
2θ 15.2, d 5.840, rel. 100.0, hkl 0 2 0; 2θ 16.3, d 5.431, rel. 35.0, hkl 1 1 0; 2θ 27.1, d 3.287, rel. 33.8, hkl 1 3 0; 2θ 38.2, d 2.356, rel. 52.5, hkl 1 1 2; 2θ 44.3, d 2.047, rel. 16.5, hkl 1 3 2; 2θ 45.0, d 2.014, rel. 17.8, hkl 3 1 0

***

Starting from DFT lattice parameters and positions (PBE), the powder diffractogram of Li3Al4Ga4 was computed for Cu Kα X-rays.
Intensities are scaled so that the largest is 100.

Lattice parameters (Å, degrees): 2.890 4.049 15.725 82.66 87.39 89.36
Space group P-1 (No. 2)
Inequivalent atoms, fractional coordinates:
Li 0.000 0.000 0.000
Li 0.404 0.360 0.276
Al 0.080 0.092 0.820
Al 0.259 0.272 0.454
Ga 0.130 0.182 0.639
Ga 0.470 0.452 0.094

Most intense lines, 2θ from 15° to 90°, in order of rising 2θ:
2θ 22.8, d 3.895, rel. 60.8, hkl 0 0 4; 2θ 23.6, d 3.772, rel. 100.0, hkl 0 1 2; 2θ 38.1, d 2.363, rel. 57.2, hkl 1 1 1; 2θ 38.5, d 2.338, rel. 55.2, hkl 1 -1 0; 2θ 38.8, d 2.323, rel. 57.7, hkl 0 1 -5; 2θ 38.8, d 2.319, rel. 55.9, hkl 0 1 6